Structure and calculated powder XRD pattern of PrHo5Sc4 (a GGA-PBE-relaxed structure; Cu Kα, 1.54184 Å).
Kinematic intensities with the Lorentz-polarization factor, no thermal factor.

Structure:
```
data_PrHo5Sc4
_space_group_name_H-M_alt 'P 1'
_space_group_IT_number 1
_space_group_name_Hall 'P 1'
_cell_length_a 7.9945
_cell_length_b 7.9945
_cell_length_c 7.9945
_cell_angle_alpha 140.68
_cell_angle_beta 101.45
_cell_angle_gamma 91.60
loop_
_atom_site_label
_atom_site_fract_x
_atom_site_fract_y
_atom_site_fract_z
Pr1 0.0000 0.0000 0.0000
Ho1 0.0022 0.2019 0.8004
Ho2 0.4015 0.2019 0.1996
Ho3 0.5000 0.0000 0.5000
Ho4 0.5985 0.7981 0.8004
Ho5 0.9978 0.7981 0.1996
Sc1 0.1939 0.6939 0.5000
Sc2 0.2482 0.5000 0.7482
Sc3 0.7518 0.5000 0.2518
Sc4 0.8061 0.3061 0.5000
```

The 10 most intense peaks (2θ from 15° to 90°), by intensity:
two_theta, I_rel
34.27, 1000
23.75, 534
33.31, 443
18.31, 415
31.30, 329
35.29, 278
41.32, 258
60.16, 248
25.49, 211
43.96, 196